This entry pairs a crystal structure of Cu5S2Br2 with its computed PXRD pattern. Radiation: Cu Kα, 1.54184 Å. Structure: a GGA-PBE-relaxed structure.

Structure:
```
9
Lattice="3.965 0.000 0.000 -0.012 7.177 0.000 -1.975 -1.902 7.487" Properties=species:S:1:pos:R:3 pbc="T T T"
Cu 0.000 0.000 0.000
Cu -0.005 1.802 2.154
Cu 0.001 4.920 5.669
Cu 1.977 0.354 1.818
Cu 1.984 3.472 5.333
S -0.005 -0.534 2.104
S 1.984 5.808 5.383
Br 0.001 2.082 5.403
Br 1.978 3.192 2.084
```

Principal peaks in the range 2θ = 5–70°, in order of falling intensity:
| d [Å] | Position (°2θ) | I_rel |
| --- | --- | --- |
| 5.867 | 15.10 | 100 |
| 3.743 | 23.77 | 68 |
| 2.158 | 41.87 | 29 |
| 2.660 | 33.69 | 23 |
| 1.983 | 45.77 | 22 |
| 1.647 | 55.84 | 22 |
| 1.931 | 47.07 | 20 |
| 3.478 | 25.61 | 19 |

***

This entry pairs a crystal structure of LaCePt2 with its computed PXRD pattern. Radiation: Cu Kα, 1.54184 Å. Structure: a GGA-PBE-relaxed structure.

Structure:
```
8
Lattice="5.921 0.000 0.000 0.000 4.473 0.000 -2.574 0.000 7.407" Properties=species:S:1:pos:R:3 pbc="T T T"
La 0.240 1.118 3.195
La 3.107 3.354 4.212
Ce -1.043 1.118 6.915
Ce 4.390 3.354 0.492
Pt 1.314 3.354 1.408
Pt 0.040 3.354 5.305
Pt 3.307 1.118 2.102
Pt 2.033 1.118 5.999
```

Principal peaks in the range 2θ = 5–70°, in order of falling intensity:
| d [Å] | Position (°2θ) | I_rel |
| --- | --- | --- |
| 2.851 | 31.38 | 100 |
| 2.313 | 38.95 | 87 |
| 2.796 | 32.00 | 39 |
| 2.236 | 40.33 | 31 |
| 1.960 | 46.32 | 20 |
| 2.371 | 37.95 | 20 |
| 1.747 | 52.39 | 20 |
| 1.474 | 63.06 | 16 |

***

This entry pairs a crystal structure of La2AsRh3 with its computed PXRD pattern. Radiation: Cu Kα, 1.54184 Å. Structure: a GGA-PBE-relaxed structure.

Structure:
```
6
Lattice="2.858 1.650 4.067 -2.858 1.650 4.067 0.000 -3.300 4.067" Properties=species:S:1:pos:R:3 pbc="T T T"
La 0.000 0.000 1.543
La 0.000 0.000 10.659
As 0.000 0.000 6.101
Rh -1.429 -0.825 4.067
Rh -1.429 0.825 8.134
Rh 0.000 1.650 4.067
```

Principal peaks in the range 2θ = 5–70°, in order of falling intensity:
| d [Å] | Position (°2θ) | I_rel |
| --- | --- | --- |
| 2.338 | 38.50 | 100 |
| 2.426 | 37.06 | 71 |
| 2.294 | 39.28 | 49 |
| 2.597 | 34.54 | 42 |
| 2.189 | 41.24 | 38 |
| 2.858 | 31.30 | 36 |
| 1.429 | 65.30 | 32 |
| 1.529 | 60.55 | 26 |

***

This entry pairs a crystal structure of PrInNi4H6 with its computed PXRD pattern. Radiation: Cu Kα, 1.54184 Å. Structure: a GGA-PBE-relaxed structure.

Structure:
```
12
Lattice="4.403 0.000 0.000 -2.202 3.813 0.000 0.000 0.000 6.837" Properties=species:S:1:pos:R:3 pbc="T T T"
Pr 0.000 0.000 0.000
In 0.000 0.000 3.419
Ni 0.000 2.542 2.164
Ni 0.000 2.542 4.674
Ni 2.202 1.271 2.164
Ni 2.202 1.271 4.674
H -1.101 1.907 1.162
H -1.101 1.907 5.675
H 2.202 0.000 1.162
H 2.202 0.000 5.675
H 1.101 1.907 1.162
H 1.101 1.907 5.675
```

Principal peaks in the range 2θ = 5–70°, in order of falling intensity:
| d [Å] | Position (°2θ) | I_rel |
| --- | --- | --- |
| 2.545 | 35.26 | 100 |
| 2.202 | 40.99 | 72 |
| 1.665 | 55.16 | 26 |
| 3.813 | 23.33 | 18 |
| 1.583 | 58.27 | 14 |
| 1.560 | 59.24 | 13 |
| 3.330 | 26.77 | 10 |
| 6.837 | 12.95 | 9 |

***

This entry pairs a crystal structure of Pm6ErTm with its computed PXRD pattern. Radiation: Cu Kα, 1.54184 Å. Structure: a GGA-PBE-relaxed structure.

Structure:
```
16
Lattice="7.270 0.000 0.000 0.000 10.142 0.000 -3.614 0.000 7.229" Properties=species:S:1:pos:R:3 pbc="T T T"
Pm 0.003 2.535 1.828
Pm 0.003 7.606 1.828
Pm 1.817 0.000 0.004
Pm -1.797 5.071 7.225
Pm 0.018 2.535 5.402
Pm 0.018 7.606 5.402
Pm 3.638 2.535 1.828
Pm 3.638 7.606 1.828
Pm 1.839 0.000 7.225
Pm 5.453 5.071 0.004
Pm 3.653 2.535 5.402
Pm 3.653 7.606 5.402
Er -1.807 0.000 3.615
Er 1.828 5.071 3.615
Tm -1.807 5.071 3.615
Tm 1.828 0.000 3.615
```

Principal peaks in the range 2θ = 5–70°, in order of falling intensity:
| d [Å] | Position (°2θ) | I_rel |
| --- | --- | --- |
| 2.954 | 30.25 | 100 |
| 2.943 | 30.37 | 99 |
| 1.803 | 50.64 | 48 |
| 2.567 | 34.96 | 34 |
| 2.559 | 35.06 | 34 |
| 2.535 | 35.40 | 33 |
| 1.544 | 59.90 | 29 |
| 1.532 | 60.43 | 28 |

***

This entry pairs a crystal structure of Pu8Sb5Se with its computed PXRD pattern. Radiation: Cu Kα, 1.54184 Å. Structure: a GGA-PBE-relaxed structure.

Structure:
```
14
Lattice="-4.604 4.604 4.611 4.604 -4.604 4.611 4.604 4.604 -4.611" Properties=species:S:1:pos:R:3 pbc="T T T"
Pu 6.307 0.721 0.406
Pu 3.912 3.034 -1.883
Pu 0.721 2.901 -0.406
Pu 0.692 1.570 2.728
Pu 1.570 -0.692 6.494
Pu 3.883 1.703 4.205
Pu 3.034 5.297 1.883
Pu -1.703 3.883 5.017
Sb 2.339 -1.114 3.467
Sb 3.490 2.266 1.144
Sb 2.266 5.718 -1.144
Sb 0.000 4.604 2.306
Sb 1.114 2.339 5.755
Se 0.000 0.000 0.000
```

Principal peaks in the range 2θ = 5–70°, in order of falling intensity:
| d [Å] | Position (°2θ) | I_rel |
| --- | --- | --- |
| 2.913 | 30.69 | 100 |
| 2.462 | 36.49 | 82 |
| 1.807 | 50.52 | 30 |
| 1.881 | 48.40 | 28 |
| 1.495 | 62.10 | 26 |
| 3.761 | 23.66 | 22 |
| 1.422 | 65.68 | 17 |
| 1.457 | 63.90 | 14 |

***

This entry pairs a crystal structure of Ga2S2Br with its computed PXRD pattern. Radiation: Cu Kα, 1.54184 Å. Structure: a GGA-PBE-relaxed structure.

Structure:
```
10
Lattice="-3.904 3.904 4.815 3.904 -3.904 4.815 3.904 3.904 -4.815" Properties=species:S:1:pos:R:3 pbc="T T T"
Ga 0.000 2.346 0.000
Ga 0.000 5.462 0.000
Ga 2.346 3.904 2.408
Ga 1.558 0.000 7.223
S 1.800 3.904 0.113
S 2.104 0.000 4.928
S 3.904 2.104 2.520
S 0.000 1.800 7.335
Br 0.000 0.000 1.054
Br 0.000 3.904 3.461
```

Principal peaks in the range 2θ = 5–70°, in order of falling intensity:
| d [Å] | Position (°2θ) | I_rel |
| --- | --- | --- |
| 6.065 | 14.60 | 100 |
| 2.969 | 30.10 | 48 |
| 2.113 | 42.80 | 47 |
| 3.283 | 27.16 | 46 |
| 1.814 | 50.29 | 35 |
| 3.629 | 24.53 | 31 |
| 3.904 | 22.78 | 23 |
| 2.197 | 41.08 | 21 |

***

This entry pairs a crystal structure of Cs2RbCd6 with its computed PXRD pattern. Radiation: Cu Kα, 1.54184 Å. Structure: a GGA-PBE-relaxed structure.

Structure:
```
9
Lattice="6.056 -4.467 0.000 6.056 4.467 0.000 -2.778 0.000 6.985" Properties=species:S:1:pos:R:3 pbc="T T T"
Cs 1.098 0.000 2.324
Cs 8.235 0.000 4.661
Rb 6.056 0.000 0.000
Cd -0.294 1.490 5.823
Cd 9.628 -1.490 1.162
Cd -0.294 -1.490 5.823
Cd 4.667 1.481 3.493
Cd 9.628 1.490 1.162
Cd 4.667 -1.481 3.493
```

Principal peaks in the range 2θ = 5–70°, in order of falling intensity:
| d [Å] | Position (°2θ) | I_rel |
| --- | --- | --- |
| 3.460 | 25.75 | 100 |
| 2.575 | 34.84 | 51 |
| 1.877 | 48.50 | 39 |
| 2.066 | 43.82 | 23 |
| 2.741 | 32.67 | 20 |
| 1.612 | 57.13 | 14 |
| 5.482 | 16.17 | 12 |
| 1.691 | 54.24 | 12 |

***

This entry pairs a crystal structure of Tb8NdHo5 with its computed PXRD pattern. Radiation: Cu Kα, 1.54184 Å. Structure: a GGA-PBE-relaxed structure.

Structure:
```
14
Lattice="-4.745 4.745 5.116 4.745 -4.745 5.116 4.745 4.745 -5.116" Properties=species:S:1:pos:R:3 pbc="T T T"
Tb 3.912 1.649 -0.028
Tb 0.672 1.674 1.513
Tb 3.097 -0.833 5.144
Tb 1.649 5.578 0.028
Tb -3.071 4.073 3.603
Tb 0.833 3.097 5.088
Tb 3.071 5.417 3.603
Tb -0.672 7.816 1.513
Nd 0.000 0.000 5.116
Ho 2.768 -1.065 1.813
Ho 5.811 -1.977 3.302
Ho 6.722 1.065 1.813
Ho 3.680 1.977 3.302
Ho 0.000 4.745 2.558
```

Principal peaks in the range 2θ = 5–70°, in order of falling intensity:
| d [Å] | Position (°2θ) | I_rel |
| --- | --- | --- |
| 2.658 | 33.71 | 100 |
| 3.001 | 29.77 | 71 |
| 3.022 | 29.56 | 65 |
| 3.209 | 27.80 | 53 |
| 2.549 | 35.21 | 49 |
| 2.589 | 34.65 | 41 |
| 2.806 | 31.90 | 23 |
| 1.483 | 62.66 | 20 |

***

This entry pairs a crystal structure of La3PrTm4 with its computed PXRD pattern. Radiation: Cu Kα, 1.54184 Å. Structure: a GGA-PBE-relaxed structure.

Structure:
```
16
Lattice="3.460 0.000 0.000 0.000 11.792 0.000 0.000 0.000 13.258" Properties=species:S:1:pos:R:3 pbc="T T T"
La 0.000 0.000 0.000
La 0.000 5.896 3.219
La 0.000 5.896 10.039
La 1.730 0.000 3.410
La 1.730 0.000 9.848
La 1.730 5.896 6.629
Pr 0.000 0.000 6.629
Pr 1.730 5.896 0.000
Tm 0.000 2.932 4.838
Tm 0.000 2.932 8.421
Tm 0.000 8.860 4.838
Tm 0.000 8.860 8.421
Tm 1.730 2.964 1.792
Tm 1.730 2.964 11.467
Tm 1.730 8.828 1.792
Tm 1.730 8.828 11.467
```

Principal peaks in the range 2θ = 5–70°, in order of falling intensity:
| d [Å] | Position (°2θ) | I_rel |
| --- | --- | --- |
| 2.889 | 30.95 | 100 |
| 2.948 | 30.32 | 55 |
| 2.968 | 30.11 | 46 |
| 2.473 | 36.33 | 33 |
| 2.911 | 30.71 | 29 |
| 1.484 | 62.59 | 27 |
| 2.418 | 37.18 | 26 |
| 1.691 | 54.26 | 21 |

***

This entry pairs a crystal structure of LaYBi3 with its computed PXRD pattern. Radiation: Cu Kα, 1.54184 Å. Structure: a GGA-PBE-relaxed structure.

Structure:
```
5
Lattice="5.811 0.000 0.000 0.000 5.811 0.000 0.000 0.000 5.811" Properties=species:S:1:pos:R:3 pbc="T T T"
La 0.000 0.000 0.000
Y 2.906 2.906 2.906
Bi 0.000 2.906 2.906
Bi 2.906 0.000 2.906
Bi 2.906 2.906 0.000
```

Principal peaks in the range 2θ = 5–70°, in order of falling intensity:
| d [Å] | Position (°2θ) | I_rel |
| --- | --- | --- |
| 3.355 | 26.57 | 100 |
| 2.906 | 30.77 | 85 |
| 2.055 | 44.07 | 64 |
| 1.752 | 52.20 | 49 |
| 1.678 | 54.71 | 23 |
| 5.811 | 15.25 | 16 |
| 1.453 | 64.09 | 11 |
| 2.599 | 34.51 | 9 |

***

This entry pairs a crystal structure of Dy3Sb4Rh8 with its computed PXRD pattern. Radiation: Cu Kα, 1.54184 Å. Structure: a GGA-PBE-relaxed structure.

Structure:
```
30
Lattice="0.000 6.499 6.499 6.499 0.000 6.499 6.499 6.499 0.000" Properties=species:S:1:pos:R:3 pbc="T T T"
Dy 6.499 6.499 2.965
Dy 6.499 2.965 6.499
Dy 10.034 6.499 6.499
Dy 2.965 6.499 6.499
Dy 6.499 10.034 6.499
Dy 6.499 6.499 10.034
Sb 0.000 0.000 0.000
Sb 3.250 3.250 0.000
Sb 3.250 0.000 3.250
Sb 6.499 3.250 3.250
Sb 0.000 3.250 3.250
Sb 3.250 6.499 3.250
Sb 3.250 3.250 6.499
Sb 6.499 6.499 6.499
Rh 8.064 4.935 4.935
Rh 2.144 2.144 2.144
Rh 4.355 4.355 2.144
Rh 4.355 2.144 4.355
Rh 4.935 4.935 4.935
Rh 8.064 8.064 4.935
Rh 8.064 4.935 8.064
Rh 10.854 8.644 8.644
Rh 2.144 4.355 4.355
Rh 4.935 8.064 4.935
Rh 4.935 4.935 8.064
Rh 8.064 8.064 8.064
Rh 8.644 10.854 8.644
Rh 8.644 8.644 10.854
Rh 10.854 10.854 10.854
Rh 4.935 8.064 8.064
```

Principal peaks in the range 2θ = 5–70°, in order of falling intensity:
| d [Å] | Position (°2θ) | I_rel |
| --- | --- | --- |
| 2.298 | 39.21 | 100 |
| 2.502 | 35.90 | 27 |
| 1.625 | 56.65 | 10 |
| 2.906 | 30.76 | 9 |
| 1.363 | 68.91 | 9 |
| 2.653 | 33.78 | 7 |
| 2.166 | 41.69 | 7 |
| 1.453 | 64.08 | 6 |

***

Copy entry 11 word for word.
This entry pairs a crystal structure of LaYBi3 with its computed PXRD pattern. Radiation: Cu Kα, 1.54184 Å. Structure: a GGA-PBE-relaxed structure.

Structure:
```
5
Lattice="5.811 0.000 0.000 0.000 5.811 0.000 0.000 0.000 5.811" Properties=species:S:1:pos:R:3 pbc="T T T"
La 0.000 0.000 0.000
Y 2.906 2.906 2.906
Bi 0.000 2.906 2.906
Bi 2.906 0.000 2.906
Bi 2.906 2.906 0.000
```

Principal peaks in the range 2θ = 5–70°, in order of falling intensity:
| d [Å] | Position (°2θ) | I_rel |
| --- | --- | --- |
| 3.355 | 26.57 | 100 |
| 2.906 | 30.77 | 85 |
| 2.055 | 44.07 | 64 |
| 1.752 | 52.20 | 49 |
| 1.678 | 54.71 | 23 |
| 5.811 | 15.25 | 16 |
| 1.453 | 64.09 | 11 |
| 2.599 | 34.51 | 9 |

***

Please write out number 5 again, unchanged.
This entry pairs a crystal structure of Pm6ErTm with its computed PXRD pattern. Radiation: Cu Kα, 1.54184 Å. Structure: a GGA-PBE-relaxed structure.

Structure:
```
16
Lattice="7.270 0.000 0.000 0.000 10.142 0.000 -3.614 0.000 7.229" Properties=species:S:1:pos:R:3 pbc="T T T"
Pm 0.003 2.535 1.828
Pm 0.003 7.606 1.828
Pm 1.817 0.000 0.004
Pm -1.797 5.071 7.225
Pm 0.018 2.535 5.402
Pm 0.018 7.606 5.402
Pm 3.638 2.535 1.828
Pm 3.638 7.606 1.828
Pm 1.839 0.000 7.225
Pm 5.453 5.071 0.004
Pm 3.653 2.535 5.402
Pm 3.653 7.606 5.402
Er -1.807 0.000 3.615
Er 1.828 5.071 3.615
Tm -1.807 5.071 3.615
Tm 1.828 0.000 3.615
```

Principal peaks in the range 2θ = 5–70°, in order of falling intensity:
| d [Å] | Position (°2θ) | I_rel |
| --- | --- | --- |
| 2.954 | 30.25 | 100 |
| 2.943 | 30.37 | 99 |
| 1.803 | 50.64 | 48 |
| 2.567 | 34.96 | 34 |
| 2.559 | 35.06 | 34 |
| 2.535 | 35.40 | 33 |
| 1.544 | 59.90 | 29 |
| 1.532 | 60.43 | 28 |